This entry pairs a crystal structure of Mg14VSb with its theoretical powder X-ray diffraction pattern. Radiation: λ = 1.5418 Å (Cu Kα). Structure: a structure optimized by DFT (PBE).

Structural model:
```
data_Mg14VSb
_space_group_name_H-M_alt 'A m m 2'
_space_group_IT_number 38
_cell_length_a 10.3098
_cell_length_b 6.2590
_cell_length_c 11.0031
_cell_angle_alpha 90.00
_cell_angle_beta 90.00
_cell_angle_gamma 90.00
loop_
_space_group_symop_operation_xyz
'x,y,z'
'-x,-y,z'
'-x,y,z'
'x,-y,z'
'x,y+1/2,z+1/2'
'-x,-y+1/2,z+1/2'
'-x,y+1/2,z+1/2'
'x,-y+1/2,z+1/2'
loop_
_atom_site_label
_atom_site_type_symbol
_atom_site_fract_x
_atom_site_fract_y
_atom_site_fract_z
Mg1 Mg 0.0000 0.0000 0.0001
Mg2 Mg 0.0000 0.0000 0.5000
Mg3 Mg 0.0000 0.2498 0.2502
Mg4 Mg 0.2481 0.0000 0.1675
Mg5 Mg 0.2512 0.2458 0.4172
Mg6 Mg 0.2516 0.0000 0.6644
Mg7 Mg 0.5000 0.2487 0.7495
V1 V 0.5000 0.0000 0.5001
Sb1 Sb 0.5000 0.0000 0.0013
```

Main lines, sorted by position (10° ≤ 2θ ≤ 90°):
2theta, d (Å), I_rel, index
16.1, 5.502, 14, 0 0 2
18.3, 4.854, 21, 1 0 2
32.9, 2.720, 27, 0 2 2
34.8, 2.577, 40, 4 0 0
37.0, 2.427, 52, 2 0 4
37.4, 2.406, 100, 2 2 2
48.7, 1.871, 17, 4 2 2
58.3, 1.582, 17, 0 2 6
64.1, 1.453, 20, 6 2 2
69.7, 1.348, 20, 4 2 6



This entry pairs a crystal structure of NaCuI3O9 with its theoretical powder X-ray diffraction pattern. Radiation: λ = 1.5418 Å (Cu Kα). Structure: a structure optimized by DFT (PBE).

Structural model:
```
data_NaCuI3O9
_space_group_name_H-M_alt 'P -1'
_space_group_IT_number 2
_cell_length_a 7.4074
_cell_length_b 7.8977
_cell_length_c 8.3138
_cell_angle_alpha 70.36
_cell_angle_beta 73.09
_cell_angle_gamma 80.83
loop_
_space_group_symop_operation_xyz
'x,y,z'
'-x,-y,-z'
loop_
_atom_site_label
_atom_site_type_symbol
_atom_site_fract_x
_atom_site_fract_y
_atom_site_fract_z
Na1 Na 0.1929 0.2900 0.3644
Cu1 Cu 0.5000 0.5000 0.0000
Cu2 Cu 0.5000 0.5000 0.5000
I1 I 0.2025 0.2807 0.9077
I2 I 0.2343 0.7680 0.2630
I3 I 0.2614 0.8597 0.7082
O1 O 0.0243 0.2079 0.6795
O2 O 0.0488 0.7299 0.7933
O3 O 0.2051 0.0379 0.9882
O4 O 0.2488 0.5637 0.4554
O5 O 0.2622 0.6396 0.1033
O6 O 0.2702 0.9549 0.4723
O7 O 0.3424 0.3046 0.0512
O8 O 0.4058 0.2895 0.7094
O9 O 0.4454 0.6740 0.7057
```

Main lines, sorted by position (10° ≤ 2θ ≤ 90°):
2theta, d (Å), I_rel, index
16.7, 5.303, 63, 1 1 0
22.6, 3.940, 54, 1 1 2
24.0, 3.710, 61, 0 2 0
24.1, 3.690, 51, 1 1 -1
25.2, 3.535, 100, 2 0 0
27.4, 3.254, 67, 1 2 2
27.9, 3.197, 64, 1 -2 0
29.3, 3.046, 88, -1 1 2
29.9, 2.993, 46, 2 0 2
51.0, 1.792, 47, 0 3 4